No. 1
Simulated powder X-ray diffraction pattern
Compound: Be3Co3Ge
Radiation: a wavelength of 1.5418 Å
Structure: a structure optimized by DFT (PBE)
No peak broadening, texture or thermal motion is included.

Crystal structure
```
data_Be3Co3Ge
_chemical_formula_sum 'Be12 Co12 Ge4'
_space_group_name_H-M_alt 'C m m m'
_space_group_IT_number 65
_space_group_name_Hall '-C 2 2'
_cell_length_a 7.348
_cell_length_b 7.611
_cell_length_c 5.175
_cell_angle_alpha 90.00
_cell_angle_beta 90.00
_cell_angle_gamma 90.00
loop_
_atom_site_label
_atom_site_type_symbol
_atom_site_fract_x
_atom_site_fract_y
_atom_site_fract_z
Be1 Be 0.000 0.241 0.000
Be2 Be 0.000 0.246 0.500
Be3 Be 0.247 0.500 0.500
Co1 Co 0.000 0.000 0.255
Co2 Co 0.250 0.250 0.260
Ge1 Ge 0.224 0.500 0.000
```

Principal peaks in the range 2θ = 5–70°, in order of rising 2θ:
2θ (°)	Rel. int.	index
16.77	30.3	1 1 0
17.13	17.9	0 0 1
24.23	38.7	2 0 0
29.13	16.8	0 2 1
33.92	18.9	2 2 0
38.24	16.4	2 2 1
42.23	18.4	0 2 2
47.80	28.5	0 4 0
49.28	100.0	2 2 2
49.63	22.6	4 0 0

***

No. 2
Simulated powder X-ray diffraction pattern
Compound: Hg2H2Pt
Radiation: a wavelength of 1.5418 Å
Structure: a structure optimized by DFT (PBE)
No peak broadening, texture or thermal motion is included.

Crystal structure
```
data_Hg2H2Pt
_chemical_formula_sum 'Hg8 H8 Pt4'
_space_group_name_H-M_alt 'I 41/a m d'
_space_group_IT_number 141
_cell_length_a 3.355
_cell_length_b 3.355
_cell_length_c 28.369
_cell_angle_alpha 90.00
_cell_angle_beta 90.00
_cell_angle_gamma 90.00
loop_
_space_group_symop_operation_xyz
'x,y,z'
'-x,-y,-z'
'-y+1/4,x+3/4,z+1/4'
'y+1/4,-x+3/4,-z+1/4'
'-x+1/2,-y,z+1/2'
'x+1/2,y,-z+1/2'
'y+1/4,-x+1/4,z+3/4'
'-y+1/4,x+1/4,-z+3/4'
'x,-y,-z'
'-x,y,z'
'-y+1/4,-x+1/4,-z+3/4'
'y+1/4,x+1/4,z+3/4'
'-x+1/2,y,-z+1/2'
'x+1/2,-y,z+1/2'
'y+1/4,x+3/4,-z+1/4'
'-y+1/4,-x+3/4,z+1/4'
'x+1/2,y+1/2,z+1/2'
'-x+1/2,-y+1/2,-z+1/2'
'-y+3/4,x+1/4,z+3/4'
'y+3/4,-x+1/4,-z+3/4'
'-x,-y+1/2,z'
'x,y+1/2,-z'
'y+3/4,-x+3/4,z+1/4'
'-y+3/4,x+3/4,-z+1/4'
'x+1/2,-y+1/2,-z+1/2'
'-x+1/2,y+1/2,z+1/2'
'-y+3/4,-x+3/4,-z+1/4'
'y+3/4,x+3/4,z+1/4'
'-x,y+1/2,-z'
'x,-y+1/2,z'
'y+3/4,x+1/4,-z+3/4'
'-y+3/4,-x+1/4,z+3/4'
loop_
_atom_site_label
_atom_site_type_symbol
_atom_site_fract_x
_atom_site_fract_y
_atom_site_fract_z
Hg1 Hg 0.000 0.250 0.043
H1 H 0.000 0.250 0.142
Pt1 Pt 0.000 0.250 0.375
```

Principal peaks in the range 2θ = 5–70°, in order of rising 2θ:
2θ (°)	Rel. int.	index
28.22	100.0	1 0 3
38.06	23.0	0 0 12
39.22	42.8	1 0 9
42.64	67.0	1 1 6
54.72	16.5	2 0 0
55.80	15.3	1 0 15
62.69	21.9	2 1 3
68.59	16.8	2 0 12
69.36	16.3	2 1 9

***

No. 3
Simulated powder X-ray diffraction pattern
Compound: Sr2LiCdSb2
Radiation: a wavelength of 1.5418 Å
Structure: a structure optimized by DFT (PBE)
No peak broadening, texture or thermal motion is included.

Crystal structure
```
data_Sr2LiCdSb2
_chemical_formula_sum 'Sr8 Li4 Cd4 Sb8'
_space_group_name_H-M_alt 'I b a m'
_space_group_IT_number 72
_space_group_name_Hall '-I 2 2c'
_cell_length_a 6.745
_cell_length_b 15.542
_cell_length_c 6.793
_cell_angle_alpha 90.00
_cell_angle_beta 90.00
_cell_angle_gamma 90.00
loop_
_atom_site_label
_atom_site_type_symbol
_atom_site_fract_x
_atom_site_fract_y
_atom_site_fract_z
Sr1 Sr 0.240 0.164 0.000
Li1 Li 0.000 0.500 0.250
Cd1 Cd 0.000 0.000 0.250
Sb1 Sb 0.232 0.382 0.000
```

Principal peaks in the range 2θ = 5–70°, in order of rising 2θ:
2θ (°)	Rel. int.	index
14.31	34.1	1 1 0
22.89	30.8	0 4 0
26.24	41.0	0 0 2
26.43	38.2	2 0 0
29.61	47.0	1 4 1
35.09	90.3	0 4 2
35.24	86.5	2 4 0
37.58	100.0	2 0 2
39.56	27.6	1 6 1
66.13	32.5	2 4 4

***

No. 4
Simulated powder X-ray diffraction pattern
Compound: Zn9Cu4Pd11
Radiation: a wavelength of 1.5418 Å
Structure: a structure optimized by DFT (PBE)
No peak broadening, texture or thermal motion is included.

Crystal structure
```
data_Zn9Cu4Pd11
_chemical_formula_sum 'Zn18 Cu8 Pd22'
_space_group_name_H-M_alt 'C m m m'
_space_group_IT_number 65
_space_group_name_Hall '-C 2 2'
_cell_length_a 13.954
_cell_length_b 17.109
_cell_length_c 2.887
_cell_angle_alpha 90.00
_cell_angle_beta 90.00
_cell_angle_gamma 90.00
loop_
_atom_site_label
_atom_site_type_symbol
_atom_site_fract_x
_atom_site_fract_y
_atom_site_fract_z
Zn1 Zn 0.000 0.000 0.000
Zn2 Zn 0.112 0.409 0.000
Zn3 Zn 0.122 0.229 0.000
Cu1 Cu 0.151 0.078 0.000
Pd1 Pd 0.000 0.136 0.500
Pd2 Pd 0.000 0.315 0.500
Pd3 Pd 0.000 0.500 0.500
Pd4 Pd 0.222 0.500 0.500
Pd5 Pd 0.232 0.330 0.500
```

Principal peaks in the range 2θ = 5–70°, in order of rising 2θ:
2θ (°)	Rel. int.	index
40.56	100.0	4 0 1
40.88	82.9	4 6 0
41.43	32.1	1 5 1
41.76	43.9	5 5 0
44.67	65.5	0 6 1
45.51	17.8	5 1 1
52.46	16.1	8 0 0
59.86	12.4	1 11 0
64.56	16.5	0 0 2
68.94	9.0	7 7 1